[1]
Computed powder diffraction line list
Compound: KLiC4N6
Radiation: λ = 1.5418 Å (Cu Kα)
Structure: a crystal structure in Alexandria, relaxed with PBE

Cell lengths 7.242, 7.242, 14.431 Å; angles 90.00, 90.00, 90.00 degrees
Space group I4/mcm (No. 140)
Asymmetric unit:
K 0.000 0.000 0.250 (multiplicity 4)
Li 0.000 0.500 0.250 (multiplicity 4)
C 0.192 0.308 0.080 (multiplicity 16)
N 0.154 0.346 0.158 (multiplicity 16)
N 0.248 0.252 0.000 (multiplicity 8)

Principal peaks in the range 2θ = 15–90°, in order of rising 2θ:
index, Position (°2θ), d_spacing, Rel. int.
1 1 2, 21.28, 4.176, 27
2 0 0, 24.59, 3.620, 16
2 0 2, 27.56, 3.236, 100
2 1 1, 28.24, 3.160, 64
1 1 4, 30.31, 2.949, 27
2 1 3, 33.35, 2.686, 25
2 2 0, 35.07, 2.559, 52
3 1 0, 39.35, 2.290, 30
4 0 4, 56.90, 1.618, 14
4 2 2, 58.41, 1.580, 15

=====

[2]
Computed powder diffraction line list
Compound: K2LiNb2P2C2O14
Radiation: λ = 1.5418 Å (Cu Kα)
Structure: a crystal structure in Alexandria, relaxed with PBE

Cell lengths 5.264, 6.600, 10.527 Å; angles 88.52, 86.80, 89.64 degrees
Space group P1 (No. 1)
Asymmetric unit:
K 0.000 0.000 0.000 (multiplicity 1)
K 0.489 0.520 0.548 (multiplicity 1)
Li 0.482 0.020 0.693 (multiplicity 1)
Nb 0.532 0.622 0.116 (multiplicity 1)
Nb 0.951 0.117 0.417 (multiplicity 1)
P 0.024 0.624 0.336 (multiplicity 1)
P 0.455 0.126 0.203 (multiplicity 1)
C 0.049 0.131 0.661 (multiplicity 1)
C 0.496 0.693 0.876 (multiplicity 1)
O 0.118 0.138 0.772 (multiplicity 1)
O 0.167 0.123 0.238 (multiplicity 1)
O 0.225 0.123 0.563 (multiplicity 1)
O 0.297 0.667 0.958 (multiplicity 1)
O 0.311 0.621 0.297 (multiplicity 1)
O 0.479 0.746 0.761 (multiplicity 1)
O 0.518 0.317 0.115 (multiplicity 1)
O 0.524 0.941 0.119 (multiplicity 1)
O 0.613 0.128 0.321 (multiplicity 1)
O 0.715 0.664 0.930 (multiplicity 1)
O 0.813 0.131 0.624 (multiplicity 1)
O 0.863 0.632 0.218 (multiplicity 1)
O 0.958 0.433 0.422 (multiplicity 1)
O 0.960 0.805 0.424 (multiplicity 1)

Principal peaks in the range 2θ = 15–90°, in order of rising 2θ:
index, Position (°2θ), d_spacing, Rel. int.
0 1 1, 15.68, 5.653, 63
0 1 -1, 16.04, 5.525, 34
1 0 1, 18.45, 4.809, 34
1 0 -1, 19.30, 4.599, 57
1 1 0, 21.56, 4.121, 51
1 -1 0, 21.67, 4.101, 54
1 0 2, 23.26, 3.823, 83
1 0 -2, 24.62, 3.616, 41
0 2 0, 27.03, 3.299, 100
2 0 0, 34.12, 2.628, 59

=====

[3]
Computed powder diffraction line list
Compound: K4LiC2O6
Radiation: λ = 1.5418 Å (Cu Kα)
Structure: a crystal structure in Alexandria, relaxed with PBE

Cell lengths 13.072, 6.103, 8.895 Å; angles 90.00, 115.53, 90.00 degrees
Space group C2/m (No. 12)
Asymmetric unit:
K 0.000 0.000 0.000 (multiplicity 2)
K 0.000 0.000 0.500 (multiplicity 2)
K 0.227 0.500 0.137 (multiplicity 4)
Li 0.000 0.500 0.500 (multiplicity 2)
C 0.179 0.500 0.735 (multiplicity 4)
O 0.128 0.317 0.668 (multiplicity 8)
O 0.224 0.000 0.134 (multiplicity 4)

Principal peaks in the range 2θ = 15–90°, in order of rising 2θ:
index, Position (°2θ), d_spacing, Rel. int.
2 0 -2, 20.72, 4.287, 100
3 1 0, 26.97, 3.305, 41
0 2 0, 29.27, 3.052, 27
1 1 2, 30.20, 2.959, 53
4 0 -3, 34.20, 2.622, 24
2 2 -2, 36.13, 2.486, 12
2 2 1, 37.04, 2.427, 18
4 2 0, 42.64, 2.121, 27
2 2 -4, 50.98, 1.791, 12
6 2 -2, 51.62, 1.771, 13

=====

[4]
Computed powder diffraction line list
Compound: K4LiC2O6
Radiation: λ = 1.5418 Å (Cu Kα)
Structure: a crystal structure in Alexandria, relaxed with PBE

Cell lengths 5.5376, 5.5376, 11.7067 Å; angles 90.00, 90.00, 120.00 degrees
Space group P-6m2 (No. 187)
Asymmetric unit:
K 0.0000 0.0000 0.0000 (multiplicity 1)
K 0.3333 0.6667 0.3372 (multiplicity 2)
K 0.6667 0.3333 0.5000 (multiplicity 1)
Li 0.3333 0.6667 0.0000 (multiplicity 1)
C 0.0000 0.0000 0.5000 (multiplicity 1)
C 0.6667 0.3333 0.0000 (multiplicity 1)
O 0.1360 0.2720 0.5000 (multiplicity 3)
O 0.5307 0.0615 0.0000 (multiplicity 3)

Principal peaks in the range 2θ = 15–90°, in order of rising 2θ:
index, Position (°2θ), d_spacing, Rel. int.
0 0 2, 15.14, 5.853, 100
1 0 1, 20.01, 4.438, 13
1 0 2, 23.99, 3.710, 48
1 0 3, 29.51, 3.027, 25
0 0 4, 30.55, 2.927, 14
1 1 0, 32.33, 2.769, 36
1 0 4, 35.93, 2.499, 23
2 0 1, 38.32, 2.349, 27
2 0 2, 40.66, 2.219, 21
2 0 3, 44.34, 2.043, 22

=====

[5]
Computed powder diffraction line list
Compound: K2LuPCO7
Radiation: λ = 1.5418 Å (Cu Kα)
Structure: a crystal structure in Alexandria, relaxed with PBE

Cell lengths 5.781, 7.021, 10.033 Å; angles 90.00, 90.50, 90.00 degrees
Space group P2_1/m (No. 11)
Asymmetric unit:
K 0.248 0.016 0.218 (multiplicity 4)
Lu 0.288 0.250 0.628 (multiplicity 2)
P 0.221 0.750 0.564 (multiplicity 2)
C 0.238 0.250 0.894 (multiplicity 2)
O 0.047 0.250 0.460 (multiplicity 2)
O 0.064 0.250 0.807 (multiplicity 2)
O 0.207 0.250 0.018 (multiplicity 2)
O 0.290 0.567 0.642 (multiplicity 4)
O 0.348 0.750 0.427 (multiplicity 2)
O 0.443 0.250 0.838 (multiplicity 2)

Principal peaks in the range 2θ = 15–90°, in order of rising 2θ:
index, Position (°2θ), d_spacing, Rel. int.
0 1 1, 15.40, 5.753, 100
1 1 0, 19.90, 4.463, 81
0 1 2, 21.76, 4.083, 40
1 0 -2, 23.38, 3.805, 61
1 0 2, 23.58, 3.773, 45
0 2 0, 25.37, 3.510, 34
0 2 1, 26.89, 3.316, 39
1 0 -3, 30.77, 2.906, 34
2 0 0, 30.96, 2.889, 56
1 2 1, 31.11, 2.874, 99

=====

[6]
Computed powder diffraction line list
Compound: KMgC
Radiation: λ = 1.5418 Å (Cu Kα)
Structure: a crystal structure in Alexandria, relaxed with PBE

Cell lengths 7.020, 3.918, 7.208 Å; angles 90.00, 108.23, 90.00 degrees
Space group P2/m (No. 10)
Asymmetric unit:
K 0.212 0.000 0.266 (multiplicity 2)
Mg 0.332 0.500 0.803 (multiplicity 2)
C 0.457 0.500 0.564 (multiplicity 2)

Principal peaks in the range 2θ = 15–90°, in order of rising 2θ:
index, Position (°2θ), d_spacing, Rel. int.
1 0 -1, 15.38, 5.762, 36
0 0 2, 26.03, 3.423, 48
1 1 0, 26.38, 3.378, 38
2 0 0, 26.74, 3.334, 26
1 1 -1, 27.53, 3.240, 92
2 0 -2, 31.04, 2.881, 38
1 1 1, 31.33, 2.855, 100
2 0 1, 33.37, 2.685, 23
1 1 -3, 44.24, 2.048, 26
0 2 0, 46.34, 1.959, 19

=====

[7]
Computed powder diffraction line list
Compound: KMgC2
Radiation: λ = 1.5418 Å (Cu Kα)
Structure: a crystal structure in Alexandria, relaxed with PBE

Cell lengths 4.260, 4.260, 14.967 Å; angles 90.00, 90.00, 90.00 degrees
Space group I4_1/amd (No. 141, origin choice 2)
Asymmetric unit:
K 0.000 0.250 0.375 (multiplicity 4)
Mg 0.000 0.250 0.875 (multiplicity 4)
C 0.000 0.000 0.000 (multiplicity 8)

Principal peaks in the range 2θ = 15–90°, in order of rising 2θ:
index, Position (°2θ), d_spacing, Rel. int.
0 0 4, 23.78, 3.742, 23
1 0 3, 27.53, 3.240, 17
1 1 2, 32.03, 2.794, 100
2 0 0, 42.44, 2.130, 22
1 1 6, 47.31, 1.921, 30
0 0 8, 48.67, 1.871, 11
2 0 4, 49.22, 1.851, 27
2 2 4, 66.97, 1.397, 15
3 1 2, 71.10, 1.326, 16
3 1 6, 81.14, 1.185, 11

=====

[8]
Computed powder diffraction line list
Compound: K2MgNb2P2C2O14
Radiation: λ = 1.5418 Å (Cu Kα)
Structure: a crystal structure in Alexandria, relaxed with PBE

Cell lengths 5.204, 6.718, 10.168 Å; angles 88.89, 85.12, 81.63 degrees
Space group P1 (No. 1)
Asymmetric unit:
K 0.000 0.000 0.000 (multiplicity 1)
K 0.447 0.359 0.578 (multiplicity 1)
Mg 0.629 0.826 0.608 (multiplicity 1)
Nb 0.543 0.572 0.128 (multiplicity 1)
Nb 0.969 0.049 0.418 (multiplicity 1)
P 0.012 0.551 0.363 (multiplicity 1)
P 0.468 0.085 0.205 (multiplicity 1)
C 0.104 0.030 0.667 (multiplicity 1)
C 0.546 0.619 0.874 (multiplicity 1)
O 0.169 0.098 0.231 (multiplicity 1)
O 0.181 0.095 0.767 (multiplicity 1)
O 0.272 0.962 0.563 (multiplicity 1)
O 0.298 0.575 0.322 (multiplicity 1)
O 0.331 0.649 0.952 (multiplicity 1)
O 0.531 0.265 0.114 (multiplicity 1)
O 0.544 0.642 0.747 (multiplicity 1)
O 0.568 0.888 0.127 (multiplicity 1)
O 0.603 0.094 0.334 (multiplicity 1)
O 0.758 0.565 0.932 (multiplicity 1)
O 0.855 0.033 0.644 (multiplicity 1)
O 0.858 0.544 0.241 (multiplicity 1)
O 0.886 0.734 0.455 (multiplicity 1)
O 0.991 0.361 0.452 (multiplicity 1)

Principal peaks in the range 2θ = 15–90°, in order of rising 2θ:
index, Position (°2θ), d_spacing, Rel. int.
0 1 1, 15.90, 5.576, 56
1 0 -1, 20.04, 4.431, 48
1 1 0, 20.28, 4.379, 36
1 -1 0, 23.38, 3.804, 58
1 0 2, 23.64, 3.764, 100
1 0 -2, 25.72, 3.464, 54
0 2 0, 26.83, 3.323, 79
0 2 1, 28.20, 3.164, 34
2 0 0, 34.99, 2.565, 35
2 0 1, 35.40, 2.536, 30

=====

[9]
Computed powder diffraction line list
Compound: K3MgPCO7
Radiation: λ = 1.5418 Å (Cu Kα)
Structure: a crystal structure in Alexandria, relaxed with PBE

Cell lengths 5.678, 6.947, 9.496 Å; angles 90.00, 90.03, 90.00 degrees
Space group P2_1/m (No. 11)
Asymmetric unit:
K 0.249 0.010 0.208 (multiplicity 4)
K 0.251 0.750 0.570 (multiplicity 2)
Mg 0.251 0.250 0.851 (multiplicity 2)
P 0.249 0.750 0.922 (multiplicity 2)
C 0.249 0.250 0.582 (multiplicity 2)
O 0.024 0.750 0.016 (multiplicity 2)
O 0.053 0.250 0.655 (multiplicity 2)
O 0.248 0.250 0.446 (multiplicity 2)
O 0.250 0.567 0.827 (multiplicity 4)
O 0.446 0.250 0.654 (multiplicity 2)
O 0.471 0.750 0.018 (multiplicity 2)

Principal peaks in the range 2θ = 15–90°, in order of rising 2θ:
index, Position (°2θ), d_spacing, Rel. int.
0 2 0, 25.64, 3.474, 27
1 1 -2, 27.65, 3.226, 15
2 0 0, 31.51, 2.839, 59
1 2 1, 31.63, 2.829, 100
0 2 2, 31.92, 2.804, 86
1 0 3, 32.38, 2.765, 55
0 2 3, 38.48, 2.340, 21
2 0 3, 42.78, 2.114, 48
2 2 -2, 45.47, 1.995, 30
0 4 0, 52.70, 1.737, 24